# 1
Starting from a DFT-relaxed cell (GGA-PBE, Alexandria), the powder diffraction line list of LiTb3Pb5 was computed for CuKα.
Kinematic intensities with the Lorentz-polarization factor, no thermal factor.

Top 8 peaks for 10° ≤ 2θ ≤ 90°, in order of rising 2θ:
- (2 1 0), 2θ = 29.08°, intensity 24
- (2 1 1), 2θ = 32.26°, intensity 79
- (3 0 0), 2θ = 33.07°, intensity 83
- (1 1 2), 2θ = 33.62°, intensity 100
- (2 2 2), 2θ = 47.88°, intensity 28
- (3 2 1), 2θ = 50.98°, intensity 17
- (2 1 3), 2θ = 51.75°, intensity 21
- (3 0 4), 2θ = 67.36°, intensity 22

abc: 9.3823 9.3823 6.4793
angles: 90.00 90.00 120.00
Space group P6_3/mcm (No. 193)
One atom of each set of equivalent atoms:
1 Li 0.0000 0.0000 0.0000 (multiplicity 2)
2 Tb 0.0000 0.3823 0.2500 (multiplicity 6)
3 Pb 0.0000 0.2689 0.7500 (multiplicity 6)
4 Pb 0.3333 0.6667 0.0000 (multiplicity 4)

---

# 2
Starting from a DFT-relaxed cell (GGA-PBE, Alexandria), the powder diffraction line list of LiTb2Te4Pb was computed for CuKα.
Kinematic intensities with the Lorentz-polarization factor, no thermal factor.

Top 8 peaks for 10° ≤ 2θ ≤ 90°, in order of rising 2θ:
- (1 1 1), 2θ = 28.36°, intensity 100
- (2 0 -2), 2θ = 28.46°, intensity 49
- (1 1 -3), 2θ = 40.02°, intensity 60
- (0 2 0), 2θ = 41.15°, intensity 55
- (2 2 -2), 2θ = 50.75°, intensity 30
- (2 2 2), 2θ = 58.67°, intensity 13
- (0 2 4), 2θ = 65.66°, intensity 18
- (1 3 1), 2θ = 67.25°, intensity 17

abc: 7.5871 4.3938 7.8712
angles: 90.00 108.58 90.00
Space group P2/m (No. 10)
One atom of each set of equivalent atoms:
1 Li 0.0000 0.0000 0.0000 (multiplicity 1)
2 Tb 0.0000 0.5000 0.5000 (multiplicity 1)
3 Tb 0.5000 0.0000 0.5000 (multiplicity 1)
4 Te 0.2384 0.0000 0.7446 (multiplicity 2)
5 Te 0.2448 0.5000 0.2538 (multiplicity 2)
6 Pb 0.5000 0.5000 0.0000 (multiplicity 1)

---

# 3
Starting from a DFT-relaxed cell (GGA-PBE, Alexandria), the powder diffraction line list of LiTe2Pb was computed for CuKα.
Kinematic intensities with the Lorentz-polarization factor, no thermal factor.

Top 8 peaks for 10° ≤ 2θ ≤ 90°, in order of rising 2θ:
- (0 1 1), 2θ = 18.51°, intensity 24
- (1 0 1), 2θ = 21.63°, intensity 39
- (0 2 0), 2θ = 30.72°, intensity 30
- (1 1 2), 2θ = 32.38°, intensity 100
- (0 1 3), 2θ = 35.43°, intensity 20
- (1 2 1), 2θ = 37.89°, intensity 19
- (2 0 0), 2θ = 38.28°, intensity 17
- (1 3 2), 2θ = 55.68°, intensity 22

abc: 4.7023 5.8207 8.4437
angles: 90.00 90.00 90.00
Space group Immm (No. 71)
One atom of each set of equivalent atoms:
1 Li 0.0000 0.0000 0.0000 (multiplicity 2)
2 Te 0.0000 0.5000 0.2753 (multiplicity 4)
3 Pb 0.0000 0.0000 0.5000 (multiplicity 2)

---

# 4
Starting from a DFT-relaxed cell (GGA-PBE, Alexandria), the powder diffraction line list of Li2ThTe4Pb was computed for CuKα.
Kinematic intensities with the Lorentz-polarization factor, no thermal factor.

Top 8 peaks for 10° ≤ 2θ ≤ 90°, in order of rising 2θ:
- (1 0 0), 2θ = 12.58°, intensity 52
- (0 1 1), 2θ = 23.14°, intensity 52
- (1 1 1), 2θ = 28.34°, intensity 100
- (2 0 -2), 2θ = 28.55°, intensity 49
- (2 1 -1), 2θ = 31.30°, intensity 21
- (1 1 -3), 2θ = 39.91°, intensity 40
- (3 1 -1), 2θ = 41.41°, intensity 36
- (2 2 -2), 2θ = 49.90°, intensity 21

abc: 7.4773 4.5042 7.8347
angles: 90.00 109.72 90.00
Space group P2/m (No. 10)
One atom of each set of equivalent atoms:
1 Li 0.0000 0.0000 0.0000 (multiplicity 1)
2 Li 0.0000 0.5000 0.5000 (multiplicity 1)
3 Th 0.5000 0.0000 0.5000 (multiplicity 1)
4 Te 0.2356 0.0000 0.7337 (multiplicity 2)
5 Te 0.2388 0.5000 0.2552 (multiplicity 2)
6 Pb 0.5000 0.5000 0.0000 (multiplicity 1)